Diffraction record for SrMgTc3. The PXRD pattern is calculated, not measured: it uses DFT lattice parameters and positions (PBE) and Cu Kα, 1.54184 Å.
Peak positions follow from Bragg's law for the DFT cell and can differ from measured ones.

Largest 10 diffraction maxima, sorted by position, 10 to 90 degrees two-theta:
2θ = 18.4°, d 4.814, I = 4; 2θ = 32.2°, d 2.779, I = 100; 2θ = 37.4°, d 2.407, I = 65; 2θ = 42.0°, d 2.153, I = 2; 2θ = 53.9°, d 1.702, I = 44; 2θ = 57.4°, d 1.605, I = 1; 2θ = 64.2°, d 1.451, I = 40; 2θ = 67.4°, d 1.390, I = 15; 2θ = 79.7°, d 1.203, I = 7; 2θ = 88.5°, d 1.104, I = 17

Atomic structure:
```
data_SrMgTc3
_chemical_formula_sum 'Sr1 Mg1 Tc3'
_cell_length_a 4.8136
_cell_length_b 4.8136
_cell_length_c 4.8136
_cell_angle_alpha 90.00
_cell_angle_beta 90.00
_cell_angle_gamma 90.00
_symmetry_space_group_name_H-M 'P m -3 m'
_symmetry_Int_Tables_number 221
_symmetry_space_group_name_Hall '-P 4 2 3'
loop_
_atom_site_label
_atom_site_type_symbol
_atom_site_fract_x
_atom_site_fract_y
_atom_site_fract_z
_atom_site_occupancy
Sr1 Sr 0.0000 0.0000 0.0000 1
Mg1 Mg 0.5000 0.5000 0.5000 1
Tc1 Tc 0.0000 0.5000 0.5000 1
```